(1)
Simulated XRD peak list of NpCO4 for Cu Kα X-rays, from DFT lattice parameters and positions (PBE).

Atomic structure:
Unit cell a=6.7996 b=6.7996 c=8.0724 alpha=90.00 beta=90.00 gamma=90.00
Space group P4_1 (No. 76)
Inequivalent atoms, fractional coordinates:
Np  0.2271  0.2486  0.0000 x4
C  0.2178  0.7421  0.1609 x4
O  0.0510  0.7470  0.5034 x4
O  0.1271  0.1980  0.3030 x4
O  0.2296  0.5631  0.1624 x4
O  0.2387  0.4994  0.7978 x4

Largest 12 diffraction maxima, by intensity, 10 to 90 degrees two-theta:
d = 5.201 Å, I 100, hkl 1 0 1
d = 3.091 Å, I 56, hkl 1 1 2
d = 3.400 Å, I 44, hkl 2 0 0
d = 2.846 Å, I 32, hkl 1 2 1
d = 1.898 Å, I 30, hkl 1 3 2
d = 2.016 Å, I 23, hkl 0 0 4
d = 2.502 Å, I 19, hkl 1 0 3
d = 1.735 Å, I 17, hkl 2 0 4
d = 2.182 Å, I 14, hkl 3 0 1
d = 1.545 Å, I 14, hkl 2 2 4
d = 1.836 Å, I 12, hkl 3 2 1
d = 2.404 Å, I 10, hkl 2 2 0

***

(2)
Simulated XRD peak list of Th2NpPaC4 for Cu Kα X-rays, from DFT lattice parameters and positions (PBE).

Atomic structure:
Unit cell a=6.3048 b=3.6570 c=6.3092 alpha=90.00 beta=109.51 gamma=90.00
Space group P2/m (No. 10)
Inequivalent atoms, fractional coordinates:
Th  0.0000  0.0000  0.0000 x1
Th  0.0000  0.5000  0.5000 x1
Np  0.5000  0.0000  0.5000 x1
Pa  0.5000  0.5000  0.0000 x1
C  0.2861  0.0000  0.7509 x2
C  0.2906  0.5000  0.2728 x2

Largest 12 diffraction maxima, by intensity, 10 to 90 degrees two-theta:
d = 2.979 Å, I 100, hkl 0 0 2
d = 2.578 Å, I 82, hkl 1 1 1
d = 1.822 Å, I 49, hkl 1 1 -3
d = 1.553 Å, I 42, hkl 3 1 1
d = 2.971 Å, I 33, hkl 2 0 0
d = 1.557 Å, I 21, hkl 2 2 0
d = 1.152 Å, I 14, hkl 3 1 -5
d = 1.182 Å, I 11, hkl 5 1 -1
d = 1.491 Å, I 10, hkl 2 2 -2
d = 1.486 Å, I 10, hkl 0 0 4
d = 1.828 Å, I 10, hkl 0 2 0
d = 1.153 Å, I 9, hkl 0 2 4

***

(3)
Simulated XRD peak list of Np4Sb2C for Cu Kα X-rays, from DFT lattice parameters and positions (PBE).

Atomic structure:
Unit cell a=4.7151 b=4.7151 c=15.9678 alpha=90.00 beta=90.00 gamma=90.00
Space group I4/mmm (No. 139)
Inequivalent atoms, fractional coordinates:
Np  0.0000  0.0000  0.1561 x4
Np  0.0000  0.5000  0.0000 x4
Sb  0.0000  0.0000  0.3570 x4
C  0.0000  0.0000  0.0000 x2

Largest 12 diffraction maxima, by intensity, 10 to 90 degrees two-theta:
d = 2.559 Å, I 100, hkl 1 1 4
d = 3.077 Å, I 76, hkl 1 1 2
d = 2.358 Å, I 55, hkl 2 0 0
d = 1.765 Å, I 37, hkl 2 0 6
d = 1.397 Å, I 32, hkl 3 1 4
d = 2.661 Å, I 31, hkl 0 0 6
d = 7.984 Å, I 22, hkl 0 0 2
d = 1.440 Å, I 21, hkl 1 1 10
d = 1.667 Å, I 19, hkl 2 2 0
d = 1.413 Å, I 18, hkl 2 2 6
d = 1.466 Å, I 18, hkl 3 1 2
d = 3.529 Å, I 11, hkl 1 0 3

***

(4)
Simulated XRD peak list of NpTa2SiC4 for Cu Kα X-rays, from DFT lattice parameters and positions (PBE).

Atomic structure:
Unit cell a=3.1892 b=10.9513 c=10.9986 alpha=90.00 beta=90.00 gamma=90.00
Space group Cmcm (No. 63)
Inequivalent atoms, fractional coordinates:
Np  0.0000  0.1036  0.2500 x4
Ta  0.0000  0.3697  0.0408 x8
Si  0.0000  0.1625  0.7500 x4
C  0.0000  0.0000  0.0000 x4
C  0.0000  0.2654  0.6184 x8
C  0.0000  0.4322  0.2500 x4

Largest 12 diffraction maxima, by intensity, 10 to 90 degrees two-theta:
d = 2.675 Å, I 100, hkl 1 1 2
d = 3.046 Å, I 86, hkl 0 2 3
d = 2.201 Å, I 51, hkl 1 3 2
d = 2.738 Å, I 51, hkl 0 4 0
d = 2.347 Å, I 40, hkl 1 3 1
d = 2.750 Å, I 35, hkl 0 0 4
d = 1.622 Å, I 34, hkl 1 3 5
d = 1.715 Å, I 32, hkl 1 5 2
d = 1.787 Å, I 29, hkl 1 1 5
d = 2.950 Å, I 25, hkl 1 1 1
d = 1.940 Å, I 22, hkl 0 4 4
d = 1.379 Å, I 22, hkl 2 4 0